Calculated powder diffraction line list of Cs5V5FeCl6O13 for λ = 1.5418 Å (Cu Kα), from the GGA+U geometry in the Materials Project.

Peak list (12 most intense, 2θ from 10° to 90°, low angle first)
22.45 deg, rel. 18
22.59 deg, rel. 35
23.91 deg, rel. 42
27.70 deg, rel. 100
31.96 deg, rel. 59
33.19 deg, rel. 12
34.34 deg, rel. 11
36.22 deg, rel. 10
39.50 deg, rel. 12
45.83 deg, rel. 20
51.64 deg, rel. 11
54.40 deg, rel. 19

Atomic structure:
```
60
Lattice="11.200 0.000 0.000 0.000 11.200 0.000 0.000 0.000 11.066" Properties=species:S:1:pos:R:3 pbc="T T T"
Cs 0.164 0.164 2.402
Cs 0.164 5.436 2.402
Cs 2.800 2.800 9.410
Cs 5.436 0.164 2.402
Cs 5.436 5.436 2.402
Cs 5.764 5.764 8.664
Cs 5.764 11.036 8.664
Cs 8.400 8.400 1.657
Cs 11.036 5.764 8.664
Cs 11.036 11.036 8.664
V 0.294 8.400 5.414
V 2.800 2.800 3.897
V 2.800 5.894 5.652
V 2.800 10.905 5.652
V 5.305 8.400 5.414
V 5.894 2.800 5.652
V 8.400 0.294 5.414
V 8.400 5.305 5.414
V 8.400 8.400 7.169
V 10.905 2.800 5.652
Fe 2.800 8.400 0.000
Fe 8.400 2.800 0.000
Cl 0.337 8.400 0.047
Cl 2.800 5.937 11.019
Cl 2.800 8.400 2.381
Cl 2.800 8.400 8.686
Cl 2.800 10.862 11.019
Cl 5.262 8.400 0.047
Cl 5.937 2.800 11.019
Cl 8.400 0.337 0.047
Cl 8.400 2.800 2.381
Cl 8.400 2.800 8.686
Cl 8.400 5.262 0.047
Cl 10.862 2.800 11.019
O 0.489 2.800 7.092
O 0.861 2.800 4.359
O 1.300 6.900 5.533
O 1.300 9.900 5.533
O 2.800 0.489 7.092
O 2.800 0.861 4.359
O 2.800 2.800 2.266
O 2.800 4.739 4.359
O 2.800 5.111 7.092
O 4.300 6.900 5.533
O 4.300 9.900 5.533
O 4.739 2.800 4.359
O 5.111 2.800 7.092
O 6.089 8.400 3.974
O 6.461 8.400 6.707
O 6.900 1.300 5.533
O 6.900 4.300 5.533
O 8.400 6.089 3.974
O 8.400 6.461 6.707
O 8.400 8.400 8.800
O 8.400 10.339 6.707
O 8.400 10.710 3.974
O 9.900 1.300 5.533
O 9.900 4.300 5.533
O 10.339 8.400 6.707
O 10.710 8.400 3.974
```

***

Calculated powder diffraction line list of AlV2O4 for λ = 1.5418 Å (Cu Kα), from the GGA+U geometry in the Materials Project.

Peak list (12 most intense, 2θ from 10° to 90°, low angle first)
18.40 deg, rel. 37
30.07 deg, rel. 75
37.28 deg, rel. 100
38.06 deg, rel. 41
38.26 deg, rel. 40
45.70 deg, rel. 34
57.38 deg, rel. 8
59.31 deg, rel. 27
59.66 deg, rel. 26
62.30 deg, rel. 13
62.51 deg, rel. 17
62.79 deg, rel. 12

Atomic structure:
```
14
Lattice="3.808 -5.336 0.000 3.808 5.336 0.000 -3.796 0.000 3.839" Properties=species:S:1:pos:R:3 pbc="T T T"
Al 0.961 4.039 2.879
Al 2.859 -4.039 0.960
V 1.904 2.668 0.000
V 0.006 -2.668 1.920
V 3.808 0.000 0.000
V 1.910 0.000 1.920
O -1.315 1.034 2.777
O 0.856 1.621 1.323
O 0.583 -1.034 0.858
O -1.042 -1.621 3.242
O 4.863 1.621 0.597
O 3.237 1.034 2.981
O 2.965 -1.621 2.516
O 5.135 -1.034 1.062
```

***

Calculated powder diffraction line list of BaNd4Co5O15 for λ = 1.5418 Å (Cu Kα), from the GGA+U geometry in the Materials Project.

Peak list (12 most intense, 2θ from 10° to 90°, low angle first)
23.04 deg, rel. 18
32.32 deg, rel. 70
32.43 deg, rel. 100
33.18 deg, rel. 32
39.80 deg, rel. 15
45.78 deg, rel. 20
47.08 deg, rel. 39
57.22 deg, rel. 14
57.83 deg, rel. 36
58.66 deg, rel. 12
58.87 deg, rel. 13
67.90 deg, rel. 16

Atomic structure:
```
50
Lattice="9.002 -2.760 0.000 9.002 2.760 0.000 -6.240 0.000 11.890" Properties=species:S:1:pos:R:3 pbc="T T T"
Ba 4.322 2.717 8.918
Ba 7.442 -2.717 2.973
Nd 3.319 0.044 0.632
Nd 0.199 -0.044 6.577
Nd 1.877 0.021 10.193
Nd 4.997 -0.021 4.248
Nd 6.767 0.021 7.643
Nd 9.887 -0.021 1.697
Nd 11.565 0.044 5.314
Nd 8.445 -0.044 11.259
Co 0.000 0.000 0.000
Co -3.120 0.000 5.945
Co 1.726 0.038 3.588
Co -1.394 -0.038 9.533
Co 6.574 0.027 1.185
Co 3.454 -0.027 7.131
Co 8.310 0.027 4.760
Co 5.190 -0.027 10.705
Co 13.158 0.038 2.357
Co 10.038 -0.038 8.302
O -2.171 0.423 7.696
O -0.053 1.312 9.312
O 5.225 1.388 1.410
O 2.213 1.280 7.963
O 7.593 1.450 0.281
O 0.949 -0.423 1.750
O 2.640 0.454 5.345
O 4.873 1.189 6.669
O 7.291 1.450 5.665
O 3.771 1.189 11.167
O -0.480 -0.454 11.290
O 6.430 1.280 9.873
O 9.660 1.388 4.535
O 7.442 0.205 2.973
O 8.697 1.312 8.524
O 3.067 -1.312 3.366
O 4.322 -0.205 8.918
O 2.104 -1.388 7.355
O 5.334 -1.280 2.017
O 12.244 0.454 0.600
O 7.993 -1.189 0.724
O 4.473 -1.450 6.226
O 6.891 -1.189 5.222
O 9.124 -0.454 6.546
O 10.815 0.423 10.140
O 4.171 -1.450 11.610
O 9.550 -1.280 3.928
O 6.539 -1.388 10.480
O 11.817 -1.312 2.579
O 13.935 -0.423 4.195
```